Diffraction record for CsKRuF6. The X-ray powder pattern is computed, not measured: it uses DFT lattice parameters and positions (GGA-PBE) and Cu Ka.

Peak list (10 most intense, 2θ = 10–80°, low angle first)
index, 2theta, I/Imax
2 0 0, 16.7, 27
0 0 1, 16.9, 14
1 1 1, 23.9, 100
3 1 0, 29.2, 47
2 2 -1, 38.1, 57
2 0 2, 38.3, 23
4 2 1, 48.7, 24
4 0 -2, 48.9, 18
5 1 2, 58.0, 18
6 2 0, 60.6, 14

Structural model:
Lattice parameters (Å, degrees): 10.5818 6.1158 5.2415 90.00 90.07 90.00
Space group Cm (No. 8)
Asymmetric unit:
Cs  0.0000  0.0000  0.0000 x2
K  0.1664  0.5000  0.4762 x2
Ru  0.3336  0.0000  0.6685 x2
F  0.1808  0.0000  0.4582 x2
F  0.2560  0.2315  0.8750 x4
F  0.4105  0.2301  0.4606 x4
F  0.4877  0.0000  0.8765 x2